This entry pairs a crystal structure of Li8Fe7O15 with its calculated X-ray powder pattern. Radiation: Cu Ka. Structure: the PBE+U geometry in Alexandria.

Structural model:
Lattice parameters (Å, degrees): 15.3265 4.0343 8.9962 90.00 101.44 90.00
Space group C2/m (No. 12)
Symmetry-distinct sites (fractional):
Li  0.0898  0.0000  0.1996
Li  0.0978  0.0000  0.5339
Li  0.0994  0.0000  0.8641
Li  0.2021  0.5000  0.7339
Fe  0.0000  0.5000  0.0000
Fe  0.0071  0.5000  0.6666
Fe  0.1982  0.5000  0.3984
Fe  0.1991  0.5000  0.0676
O  0.0000  0.0000  0.0000
O  0.0055  0.0000  0.6701
O  0.0942  0.5000  0.5205
O  0.0957  0.5000  0.8737
O  0.0974  0.5000  0.1999
O  0.2032  0.0000  0.4125
O  0.2039  0.0000  0.0567
O  0.2164  0.0000  0.7380

Most intense lines, 10° ≤ 2θ ≤ 80°, low angle first:
| 2theta | d/Å | I (rel.) |
| --- | --- | --- |
| 22.8 | 3.896 | 100.0 |
| 23.7 | 3.756 | 49.9 |
| 30.4 | 2.941 | 42.8 |
| 37.3 | 2.408 | 42.6 |
| 42.5 | 2.125 | 74.9 |
| 42.7 | 2.120 | 74.7 |
| 44.7 | 2.026 | 22.1 |
| 44.9 | 2.017 | 65.1 |
| 61.9 | 1.499 | 21.4 |
| 63.6 | 1.462 | 74.9 |